Diffraction record for RuWIO2. The XRD peak list is calculated, not measured: it uses a crystal structure in Alexandria, relaxed with GGA+U and copper Kα.
Lines closer than 0.1° are merged.

Peak list (10 most intense, 15° ≤ 2θ ≤ 90°, in order of falling intensity)
| 2theta | Rel. int. | h k l |
| --- | --- | --- |
| 23.0 | 100 | 0 0 2 |
| 32.8 | 65 | 1 1 0 |
| 40.4 | 46 | 1 1 2 |
| 53.0 | 41 | 2 0 2 |
| 47.0 | 31 | 2 0 0 |
| 25.8 | 27 | 1 0 1 |
| 58.5 | 25 | 1 1 4 |
| 68.7 | 19 | 2 2 0 |
| 73.5 | 19 | 2 2 2 |
| 82.9 | 18 | 3 1 2 |

Structural model:
Cell lengths 3.8640, 3.8640, 7.7257 Å; angles 90.00, 90.00, 90.00 degrees
Positions (direct):
Ru1 0.0000 0.0000 0.0000
W1 0.5000 0.5000 0.5000
I1 0.5000 0.5000 0.0000
O1 0.0000 0.5000 0.5000
O2 0.5000 0.0000 0.5000